The following is a computed PXRD pattern of Mn3Cr2SbP6O24. It was derived from the GGA+U geometry in the Materials Project, using Cu Kα (weighted mean of Kα1 and Kα2).
Lines closer than 0.1° are merged.

Crystal structure
Lattice parameters (Å, degrees): 8.583 8.583 8.583 61.20 61.20 61.20
Element x y z (fractional)
Mn  0.000  0.000  0.000
Mn  0.204  0.204  0.204
Mn  0.707  0.707  0.707
Cr  0.348  0.348  0.348
Cr  0.852  0.852  0.852
Sb  0.497  0.497  0.497
P  0.098  0.807  0.407
P  0.300  0.605  0.902
P  0.407  0.098  0.807
P  0.605  0.902  0.300
P  0.807  0.407  0.098
P  0.902  0.300  0.605
O  0.036  0.831  0.259
O  0.098  0.288  0.444
O  0.101  0.752  0.910
O  0.173  0.954  0.366
O  0.259  0.036  0.831
O  0.264  0.600  0.420
O  0.288  0.444  0.098
O  0.344  0.531  0.743
O  0.366  0.173  0.954
O  0.420  0.264  0.600
O  0.444  0.098  0.288
O  0.452  0.672  0.860
O  0.531  0.743  0.344
O  0.600  0.420  0.264
O  0.609  0.951  0.785
O  0.672  0.860  0.452
O  0.743  0.344  0.531
O  0.752  0.910  0.101
O  0.785  0.609  0.951
O  0.831  0.259  0.036
O  0.860  0.452  0.672
O  0.910  0.101  0.752
O  0.951  0.785  0.609
O  0.954  0.366  0.173

Peak list (12 most intense, 2θ from 10° to 90°, by angle)
2θ = 20.33°, d 4.369, I 99
2θ = 20.70°, d 4.290, I 23
2θ = 24.07°, d 3.698, I 100
2θ = 29.17°, d 3.061, I 13
2θ = 31.57°, d 2.834, I 16
2θ = 32.95°, d 2.718, I 80
2θ = 35.59°, d 2.523, I 50
2θ = 47.20°, d 1.925, I 28
2θ = 49.28°, d 1.849, I 32
2θ = 55.66°, d 1.651, I 27
2θ = 56.30°, d 1.634, I 13
2θ = 62.25°, d 1.491, I 27

---

The following is a computed PXRD pattern of Mn3CrSn2P6O24. It was derived from the GGA+U geometry in the Materials Project, using Cu Kα (weighted mean of Kα1 and Kα2).
Lines closer than 0.1° are merged.

Crystal structure
Lattice parameters (Å, degrees): 8.595 8.595 8.595 61.53 61.53 61.53
Element x y z (fractional)
Mn  0.000  0.000  0.000
Mn  0.195  0.195  0.195
Mn  0.696  0.696  0.696
Cr  0.492  0.492  0.492
Sn  0.345  0.345  0.345
Sn  0.848  0.848  0.848
P  0.098  0.402  0.793
P  0.299  0.892  0.596
P  0.402  0.793  0.098
P  0.596  0.299  0.892
P  0.793  0.098  0.402
P  0.892  0.596  0.299
O  0.030  0.256  0.822
O  0.095  0.442  0.281
O  0.096  0.910  0.745
O  0.168  0.364  0.942
O  0.256  0.422  0.590
O  0.256  0.822  0.030
O  0.281  0.095  0.442
O  0.347  0.740  0.523
O  0.364  0.942  0.168
O  0.422  0.590  0.256
O  0.442  0.281  0.095
O  0.443  0.861  0.671
O  0.523  0.347  0.740
O  0.590  0.256  0.422
O  0.606  0.771  0.948
O  0.671  0.443  0.861
O  0.740  0.523  0.347
O  0.745  0.096  0.910
O  0.771  0.948  0.606
O  0.822  0.030  0.256
O  0.861  0.671  0.443
O  0.910  0.745  0.096
O  0.942  0.168  0.364
O  0.948  0.606  0.771

Peak list (12 most intense, 2θ from 10° to 90°, by angle)
2θ = 14.41°, d 6.145, I 32
2θ = 20.20°, d 4.397, I 100
2θ = 23.96°, d 3.713, I 68
2θ = 24.90°, d 3.576, I 28
2θ = 32.27°, d 2.774, I 18
2θ = 32.89°, d 2.723, I 92
2θ = 35.36°, d 2.538, I 48
2θ = 44.22°, d 2.048, I 19
2θ = 47.09°, d 1.930, I 27
2θ = 49.07°, d 1.857, I 38
2θ = 55.28°, d 1.662, I 26
2θ = 61.92°, d 1.499, I 33

---

The following is a computed PXRD pattern of Mn3CrTe2P6O24. It was derived from the GGA+U geometry in the Materials Project, using Cu Kα (weighted mean of Kα1 and Kα2).
Lines closer than 0.1° are merged.

Crystal structure
Lattice parameters (Å, degrees): 8.783 8.783 8.783 60.29 60.29 60.29
Element x y z (fractional)
Mn  0.000  0.000  0.000
Mn  0.191  0.191  0.191
Mn  0.696  0.696  0.696
Cr  0.492  0.492  0.492
Te  0.339  0.339  0.339
Te  0.846  0.846  0.846
P  0.099  0.793  0.399
P  0.302  0.596  0.888
P  0.399  0.099  0.793
P  0.596  0.888  0.302
P  0.793  0.399  0.099
P  0.888  0.302  0.596
O  0.039  0.820  0.252
O  0.091  0.282  0.434
O  0.102  0.747  0.912
O  0.157  0.947  0.367
O  0.252  0.039  0.820
O  0.259  0.598  0.424
O  0.282  0.434  0.091
O  0.347  0.526  0.739
O  0.367  0.157  0.947
O  0.424  0.259  0.598
O  0.434  0.091  0.282
O  0.446  0.663  0.861
O  0.526  0.739  0.347
O  0.598  0.424  0.259
O  0.599  0.941  0.771
O  0.663  0.861  0.446
O  0.739  0.347  0.526
O  0.747  0.912  0.102
O  0.771  0.599  0.941
O  0.820  0.252  0.039
O  0.861  0.446  0.663
O  0.912  0.102  0.747
O  0.941  0.771  0.599
O  0.947  0.367  0.157

Peak list (12 most intense, 2θ from 10° to 90°, by angle)
2θ = 14.23°, d 6.224, I 29
2θ = 20.13°, d 4.411, I 100
2θ = 23.70°, d 3.755, I 66
2θ = 24.74°, d 3.599, I 27
2θ = 32.10°, d 2.788, I 18
2θ = 32.22°, d 2.779, I 93
2θ = 35.24°, d 2.546, I 47
2θ = 43.62°, d 2.075, I 20
2θ = 46.18°, d 1.966, I 24
2θ = 48.49°, d 1.877, I 37
2θ = 55.09°, d 1.667, I 25
2θ = 61.35°, d 1.511, I 31

---

The following is a computed PXRD pattern of MnV3Cr2P6O24. It was derived from the GGA+U geometry in the Materials Project, using Cu Kα (weighted mean of Kα1 and Kα2).
Lines closer than 0.1° are merged.

Crystal structure
Lattice parameters (Å, degrees): 8.545 8.545 8.545 60.88 60.88 60.88
Element x y z (fractional)
Mn  0.000  0.000  0.000
V  0.292  0.292  0.292
V  0.502  0.502  0.502
V  0.792  0.792  0.792
Cr  0.147  0.147  0.147
Cr  0.647  0.647  0.647
P  0.105  0.694  0.401
P  0.195  0.595  0.898
P  0.401  0.105  0.694
P  0.595  0.898  0.195
P  0.694  0.401  0.105
P  0.898  0.195  0.595
O  0.032  0.643  0.835
O  0.054  0.210  0.393
O  0.099  0.893  0.248
O  0.142  0.540  0.334
O  0.171  0.741  0.965
O  0.210  0.393  0.054
O  0.248  0.099  0.893
O  0.259  0.639  0.481
O  0.334  0.142  0.540
O  0.393  0.054  0.210
O  0.393  0.573  0.735
O  0.481  0.259  0.639
O  0.540  0.334  0.142
O  0.562  0.905  0.709
O  0.573  0.735  0.393
O  0.639  0.481  0.259
O  0.643  0.835  0.032
O  0.709  0.562  0.905
O  0.735  0.393  0.573
O  0.741  0.965  0.171
O  0.835  0.032  0.643
O  0.893  0.248  0.099
O  0.905  0.709  0.562
O  0.965  0.171  0.741

Peak list (12 most intense, 2θ from 10° to 90°, by angle)
2θ = 20.52°, d 4.329, I 65
2θ = 24.24°, d 3.672, I 100
2θ = 25.25°, d 3.527, I 14
2θ = 31.87°, d 2.808, I 15
2θ = 33.11°, d 2.705, I 61
2θ = 35.93°, d 2.499, I 34
2θ = 47.47°, d 1.915, I 24
2θ = 49.66°, d 1.836, I 25
2θ = 56.22°, d 1.636, I 19
2θ = 56.69°, d 1.624, I 12
2θ = 62.80°, d 1.480, I 19
2θ = 76.18°, d 1.250, I 9

---

The following is a computed PXRD pattern of Mn2V3CrP6O24. It was derived from the GGA+U geometry in the Materials Project, using Cu Kα (weighted mean of Kα1 and Kα2).
Lines closer than 0.1° are merged.

Crystal structure
Lattice parameters (Å, degrees): 8.629 8.629 8.629 59.90 59.90 59.90
Element x y z (fractional)
Mn  0.000  0.000  0.000
Mn  0.500  0.500  0.500
V  0.144  0.144  0.144
V  0.356  0.356  0.356
V  0.855  0.855  0.855
Cr  0.642  0.642  0.642
P  0.039  0.459  0.749
P  0.250  0.958  0.541
P  0.459  0.749  0.039
P  0.541  0.250  0.958
P  0.749  0.039  0.459
P  0.958  0.541  0.250
O  0.005  0.619  0.806
O  0.061  0.264  0.916
O  0.083  0.941  0.735
O  0.119  0.505  0.306
O  0.190  0.997  0.381
O  0.235  0.441  0.585
O  0.264  0.916  0.061
O  0.306  0.119  0.505
O  0.381  0.190  0.997
O  0.413  0.764  0.556
O  0.441  0.585  0.235
O  0.490  0.696  0.881
O  0.505  0.306  0.119
O  0.556  0.413  0.764
O  0.585  0.235  0.441
O  0.619  0.806  0.005
O  0.696  0.881  0.490
O  0.735  0.083  0.941
O  0.764  0.556  0.413
O  0.806  0.005  0.619
O  0.881  0.490  0.696
O  0.916  0.061  0.264
O  0.941  0.735  0.083
O  0.997  0.381  0.190

Peak list (12 most intense, 2θ from 10° to 90°, by angle)
2θ = 20.62°, d 4.308, I 78
2θ = 24.21°, d 3.676, I 100
2θ = 25.32°, d 3.518, I 15
2θ = 32.02°, d 2.795, I 16
2θ = 32.83°, d 2.728, I 69
2θ = 36.11°, d 2.487, I 33
2θ = 47.12°, d 1.929, I 28
2θ = 49.60°, d 1.838, I 25
2θ = 56.47°, d 1.630, I 13
2θ = 56.52°, d 1.628, I 22
2θ = 62.87°, d 1.478, I 16
2θ = 76.61°, d 1.244, I 11

---

The following is a computed PXRD pattern of Mn2CrSbO6. It was derived from the GGA+U geometry in the Materials Project, using Cu Kα (weighted mean of Kα1 and Kα2).
Lines closer than 0.1° are merged.

Crystal structure
Lattice parameters (Å, degrees): 5.307 5.457 7.686 90.10 90.27 90.01
Element x y z (fractional)
Mn  0.012  0.052  0.248
Mn  0.488  0.552  0.252
Mn  0.512  0.448  0.748
Mn  0.988  0.948  0.752
Cr  0.000  0.500  0.000
Cr  0.500  0.000  0.500
Sb  0.000  0.500  0.500
Sb  0.500  0.000  0.000
O  0.120  0.557  0.748
O  0.187  0.806  0.433
O  0.190  0.809  0.061
O  0.310  0.309  0.439
O  0.313  0.305  0.066
O  0.379  0.057  0.752
O  0.621  0.943  0.248
O  0.687  0.695  0.934
O  0.690  0.691  0.561
O  0.810  0.191  0.939
O  0.813  0.194  0.567
O  0.880  0.443  0.252

Peak list (12 most intense, 2θ from 10° to 90°, by angle)
2θ = 19.96°, d 4.449, I 26
2θ = 20.35°, d 4.364, I 23
2θ = 23.38°, d 3.804, I 26
2θ = 32.83°, d 2.728, I 46
2θ = 33.08°, d 2.708, I 100
2θ = 33.19°, d 2.699, I 99
2θ = 33.78°, d 2.653, I 43
2θ = 47.31°, d 1.921, I 27
2θ = 47.82°, d 1.902, I 47
2θ = 58.76°, d 1.571, I 35
2θ = 59.91°, d 1.544, I 25
2θ = 60.13°, d 1.539, I 24